Theoretical X-ray powder pattern
Compound: Ni17As6O32
Radiation: copper Kα
Structure: the PBE+U geometry in the Materials Project
Intensities are scaled so that the largest is 100.

Top 10 peaks for 2θ = 15–90°, sorted by position:
two_theta, d (Å), I_rel
23.34, 3.811, 32
28.80, 3.100, 20
34.57, 2.595, 23
35.56, 2.525, 25
36.81, 2.442, 33
38.14, 2.360, 35
43.40, 2.085, 100
61.54, 1.507, 21
61.88, 1.499, 41
64.25, 1.450, 35

Structure:
a = 9.9281 Å, b = 6.0275 Å, c = 10.3706 Å
α = 90.00°, β = 110.51°, γ = 90.00°
Fractional positions:
Ni 0.0000 0.0000 0.0000
Ni 0.0007 0.2578 0.7418
Ni 0.0007 0.7422 0.7418
Ni 0.2563 0.2565 0.5045
Ni 0.2563 0.7435 0.5045
Ni 0.2599 0.0000 0.7511
Ni 0.2640 0.2483 0.0043
Ni 0.2640 0.7517 0.0043
Ni 0.2659 0.5000 0.2550
Ni 0.7341 0.5000 0.7450
Ni 0.7360 0.2483 0.9957
Ni 0.7360 0.7517 0.9957
Ni 0.7401 0.0000 0.2489
Ni 0.7437 0.2565 0.4955
Ni 0.7437 0.7435 0.4955
Ni 0.9993 0.2578 0.2582
Ni 0.9993 0.7422 0.2582
As 0.0000 0.0000 0.5000
As 0.0000 0.5000 0.0000
As 0.4215 0.5000 0.8076
As 0.4242 0.0000 0.3101
As 0.5758 0.0000 0.6899
As 0.5785 0.5000 0.1924
O 0.1150 0.0000 0.3894
O 0.1147 0.2788 0.1113
O 0.1147 0.7212 0.1113
O 0.1160 0.5000 0.8908
O 0.1188 0.2129 0.6153
O 0.1188 0.7871 0.6153
O 0.1289 0.0000 0.8782
O 0.1391 0.5000 0.3675
O 0.3704 0.0000 0.1330
O 0.3706 0.2356 0.3701
O 0.3713 0.2627 0.8696
O 0.3713 0.7373 0.8696
O 0.3706 0.7644 0.3701
O 0.3718 0.5000 0.6324
O 0.3865 0.0000 0.6274
O 0.3880 0.5000 0.1282
O 0.6120 0.5000 0.8718
O 0.6135 0.0000 0.3726
O 0.6282 0.5000 0.3676
O 0.6294 0.2356 0.6299
O 0.6287 0.2627 0.1304
O 0.6287 0.7373 0.1304
O 0.6294 0.7644 0.6299
O 0.6296 0.0000 0.8670
O 0.8609 0.5000 0.6325
O 0.8711 0.0000 0.1218
O 0.8812 0.2129 0.3847
O 0.8812 0.7871 0.3847
O 0.8840 0.5000 0.1092
O 0.8850 0.0000 0.6106
O 0.8853 0.2788 0.8887
O 0.8853 0.7212 0.8887


Theoretical X-ray powder pattern
Compound: NiAsO3
Radiation: copper Kα
Structure: the PBE+U geometry in the Materials Project
Intensities are scaled so that the largest is 100.

Top 7 peaks for 2θ = 15–90°, sorted by position:
two_theta, d (Å), I_rel
34.31, 2.614, 100
42.35, 2.134, 8
49.31, 1.848, 38
61.44, 1.509, 37
72.30, 1.307, 21
82.53, 1.169, 16
87.53, 1.114, 2

Structure:
a = 3.6964 Å, b = 3.6964 Å, c = 3.6964 Å
α = 90.00°, β = 90.00°, γ = 90.00°
Fractional positions:
Ni 0.0000 0.0000 0.0000
As 0.5000 0.5000 0.5000
O 0.0000 0.0000 0.5000
O 0.0000 0.5000 0.0000
O 0.5000 0.0000 0.0000


Theoretical X-ray powder pattern
Compound: NiAsO4
Radiation: copper Kα
Structure: the PBE+U geometry in the Materials Project
Intensities are scaled so that the largest is 100.

Top 10 peaks for 2θ = 15–90°, sorted by position:
two_theta, d (Å), I_rel
19.96, 4.449, 81
23.17, 3.839, 47
25.21, 3.533, 17
30.76, 2.907, 57
35.53, 2.527, 100
36.94, 2.433, 33
40.64, 2.220, 24
57.83, 1.594, 24
63.25, 1.470, 18
67.90, 1.380, 18

Structure:
a = 10.2249 Å, b = 5.8134 Å, c = 4.9418 Å
α = 90.00°, β = 90.00°, γ = 90.00°
Fractional positions:
Ni 0.2313 0.2500 0.0398
Ni 0.2687 0.7500 0.5398
Ni 0.7313 0.2500 0.4602
Ni 0.7687 0.7500 0.9602
As 0.0927 0.7500 0.0788
As 0.4073 0.2500 0.5788
As 0.5927 0.7500 0.4212
As 0.9073 0.2500 0.9212
O 0.0697 0.2500 0.8339
O 0.1047 0.7500 0.7338
O 0.1739 0.5287 0.2498
O 0.1739 0.9713 0.2498
O 0.3261 0.0287 0.7498
O 0.3261 0.4713 0.7498
O 0.3953 0.2500 0.2338
O 0.4303 0.7500 0.3339
O 0.5697 0.2500 0.6661
O 0.6047 0.7500 0.7662
O 0.6739 0.5287 0.2502
O 0.6739 0.9713 0.2502
O 0.8261 0.0287 0.7502
O 0.8261 0.4713 0.7502
O 0.8953 0.2500 0.2662
O 0.9303 0.7500 0.1661